Diffraction record for K2MoBr4. The X-ray powder pattern is simulated, not measured: it uses a cell relaxed with GGA-PBE and Cu Kα, 1.54184 Å.
Peak positions follow from Bragg's law for the DFT cell and can differ from measured ones.

Most intense lines, 5 to 70 degrees two-theta, in order of rising 2θ:
11.5 deg, intensity 76; 13.3 deg, intensity 51; 21.1 deg, intensity 35; 26.8 deg, intensity 25; 31.5 deg, intensity 96; 33.0 deg, intensity 100; 39.5 deg, intensity 20; 47.3 deg, intensity 39; 53.3 deg, intensity 18; 58.0 deg, intensity 37

Cell: 8.761 8.761 8.761 Å, 103.32 103.32 122.63°
Sites, in units of the cell vectors:
K  0.232  0.232  0.465
K  0.232  0.768  0.000
K  0.768  0.232  0.000
K  0.768  0.768  0.535
Mo  0.366  0.366  0.000
Mo  0.634  0.634  0.000
Br  0.050  0.282  0.768
Br  0.282  0.050  0.768
Br  0.282  0.514  0.232
Br  0.486  0.718  0.768
Br  0.514  0.282  0.232
Br  0.718  0.486  0.768
Br  0.718  0.950  0.232
Br  0.950  0.718  0.232